Structure and theoretical X-ray diffraction stick pattern of Sr2P7I (a GGA-PBE-relaxed structure; a wavelength of 1.5418 Å).

Structure:
Unit cell a=10.0580 b=10.0580 c=10.0580 alpha=90.00 beta=90.00 gamma=90.00
Element x y z (fractional)
Sr 0.0967 0.0967 0.0967
Sr 0.1538 0.3462 0.6538
Sr 0.3462 0.6538 0.1538
Sr 0.4033 0.9033 0.5967
Sr 0.5967 0.4033 0.9033
Sr 0.6538 0.1538 0.3462
Sr 0.8462 0.8462 0.8462
Sr 0.9033 0.5967 0.4033
P 0.0307 0.6433 0.0412
P 0.0367 0.6442 0.6906
P 0.0412 0.0307 0.6433
P 0.1433 0.4588 0.9693
P 0.1442 0.8094 0.9633
P 0.1906 0.4633 0.3558
P 0.2205 0.7205 0.7795
P 0.2795 0.2795 0.2795
P 0.3094 0.5367 0.8558
P 0.3558 0.1906 0.4633
P 0.3567 0.5412 0.4693
P 0.4588 0.9693 0.1433
P 0.4633 0.3558 0.1906
P 0.4693 0.3567 0.5412
P 0.5307 0.8567 0.9588
P 0.5367 0.8558 0.3094
P 0.5412 0.4693 0.3567
P 0.6433 0.0412 0.0307
P 0.6442 0.6906 0.0367
P 0.6906 0.0367 0.6442
P 0.7205 0.7795 0.2205
P 0.7795 0.2205 0.7205
P 0.8094 0.9633 0.1442
P 0.8558 0.3094 0.5367
P 0.8567 0.9588 0.5307
P 0.9588 0.5307 0.8567
P 0.9633 0.1442 0.8094
P 0.9693 0.1433 0.4588
I 0.1511 0.8489 0.3489
I 0.3489 0.1511 0.8489
I 0.6511 0.6511 0.6511
I 0.8489 0.3489 0.1511

Top 10 peaks for 2θ from 15° to 90°, most intense first:
Position (°2θ), I_rel
32.09, 100.0
33.33, 98.1
21.64, 83.7
56.39, 42.9
46.94, 28.7
30.80, 20.0
28.05, 19.9
48.76, 19.1
64.90, 19.0
58.78, 18.5


Structure and theoretical X-ray diffraction stick pattern of Na2HPd2 (a GGA-PBE-relaxed structure; a wavelength of 1.5418 Å).

Structure:
Unit cell a=5.8256 b=5.8256 c=5.0354 alpha=91.32 beta=91.32 gamma=66.02
Element x y z (fractional)
Na 0.0096 0.7323 0.9929
Na 0.2677 0.9904 0.5071
Na 0.7323 0.0096 0.4929
Na 0.9904 0.2677 0.0071
H 0.4940 0.5060 0.2500
H 0.5060 0.4940 0.7500
Pd 0.2547 0.4900 0.4972
Pd 0.4900 0.2547 0.9972
Pd 0.5100 0.7453 0.0028
Pd 0.7453 0.5100 0.5028

Top 10 peaks for 2θ from 15° to 90°, most intense first:
Position (°2θ), I_rel
38.01, 100.0
16.66, 97.4
38.50, 96.2
35.67, 59.8
36.81, 54.6
24.15, 28.3
24.52, 28.2
51.43, 23.5
30.87, 22.0
65.30, 19.3


Structure and theoretical X-ray diffraction stick pattern of Ba2TlTe4 (a GGA-PBE-relaxed structure; a wavelength of 1.5418 Å).

Structure:
Unit cell a=8.6268 b=6.6451 c=10.1282 alpha=90.00 beta=107.14 gamma=90.00
Element x y z (fractional)
Ba 0.2458 0.2500 0.4311
Ba 0.2522 0.2500 0.9423
Ba 0.7478 0.7500 0.0577
Ba 0.7542 0.7500 0.5689
Tl 0.2157 0.7500 0.6777
Tl 0.7843 0.2500 0.3223
Te 0.0705 0.7500 0.3848
Te 0.0763 0.7500 0.9013
Te 0.4905 0.5156 0.2481
Te 0.4905 0.9844 0.2481
Te 0.5095 0.0156 0.7519
Te 0.5095 0.4844 0.7519
Te 0.9237 0.2500 0.0987
Te 0.9295 0.2500 0.6152

Top 10 peaks for 2θ from 15° to 90°, most intense first:
Position (°2θ), I_rel
27.45, 100.0
23.89, 56.8
35.17, 55.1
35.45, 53.4
28.97, 52.2
34.68, 35.9
46.41, 28.0
32.66, 27.0
26.83, 26.6
50.43, 24.8


Structure and theoretical X-ray diffraction stick pattern of K2Al2Au (a GGA-PBE-relaxed structure; a wavelength of 1.5418 Å).

Structure:
Unit cell a=6.8264 b=6.8264 c=5.9500 alpha=90.00 beta=90.00 gamma=90.00
Element x y z (fractional)
K 0.1858 0.3142 0.0000
K 0.3142 0.8142 0.0000
K 0.6858 0.1858 0.0000
K 0.8142 0.6858 0.0000
Al 0.1380 0.6380 0.5000
Al 0.3620 0.1380 0.5000
Al 0.6380 0.8620 0.5000
Al 0.8620 0.3620 0.5000
Au 0.0000 0.0000 0.5000
Au 0.5000 0.5000 0.5000

Top 10 peaks for 2θ from 15° to 90°, most intense first:
Position (°2θ), I_rel
23.74, 100.0
30.19, 96.2
18.38, 65.6
30.04, 45.2
52.37, 45.0
44.66, 43.8
41.85, 43.5
35.44, 27.7
37.26, 25.8
48.57, 24.1